Record 1
This entry pairs a crystal structure of Pr2CuGe2O8 with its calculated powder diffractogram. Radiation: Cu Kα, 1.54184 Å. Structure: DFT lattice parameters and positions (PBE).

```
data_Pr2CuGe2O8
_chemical_formula_sum 'Pr8 Cu4 Ge8 O32'
_cell_length_a 9.978
_cell_length_b 15.549
_cell_length_c 5.226
_cell_angle_alpha 90.00
_cell_angle_beta 120.73
_cell_angle_gamma 90.00
_symmetry_space_group_name_H-M 'C 1 m 1'
_symmetry_Int_Tables_number 8
_symmetry_space_group_name_Hall 'C -2y'
loop_
_atom_site_label
_atom_site_type_symbol
_atom_site_fract_x
_atom_site_fract_y
_atom_site_fract_z
Pr1 Pr 0.000 0.121 0.000
Pr2 Pr 0.003 0.379 0.494
Cu1 Cu 0.214 0.293 0.197
Ge1 Ge 0.244 0.500 0.194
Ge2 Ge 0.248 0.000 0.791
Ge3 Ge 0.259 0.211 0.738
O1 O 0.080 0.000 0.825
O2 O 0.082 0.500 0.819
O3 O 0.096 0.241 0.377
O4 O 0.239 0.407 0.395
O5 O 0.247 0.092 0.579
O6 O 0.249 0.173 0.056
O7 O 0.254 0.326 0.893
O8 O 0.411 0.000 0.158
O9 O 0.412 0.500 0.157
O10 O 0.436 0.233 0.744
```

Principal peaks in the range 2θ = 5–70°, by angle:
| two_theta | d [Å] | I/Imax |
| --- | --- | --- |
| 24.19 | 3.680 | 37 |
| 27.32 | 3.265 | 100 |
| 27.71 | 3.220 | 95 |
| 31.05 | 2.880 | 90 |
| 33.53 | 2.672 | 96 |
| 34.32 | 2.613 | 42 |
| 42.14 | 2.144 | 39 |
| 46.71 | 1.945 | 57 |
| 47.20 | 1.926 | 45 |
| 60.33 | 1.534 | 28 |

=====

Record 2
This entry pairs a crystal structure of Cu4SiGe3O12 with its calculated powder diffractogram. Radiation: Cu Kα, 1.54184 Å. Structure: DFT lattice parameters and positions (PBE).

```
data_Cu4SiGe3O12
_chemical_formula_sum 'Cu4 Si1 Ge3 O12'
_cell_length_a 2.944
_cell_length_b 17.458
_cell_length_c 4.853
_cell_angle_alpha 90.00
_cell_angle_beta 90.00
_cell_angle_gamma 90.00
_symmetry_space_group_name_H-M 'P m m 2'
_symmetry_Int_Tables_number 25
_symmetry_space_group_name_Hall 'P 2 -2'
loop_
_atom_site_label
_atom_site_type_symbol
_atom_site_fract_x
_atom_site_fract_y
_atom_site_fract_z
Cu1 Cu 0.000 0.123 0.000
Cu2 Cu 0.000 0.375 0.011
Si1 Si 0.500 0.000 0.607
Ge1 Ge 0.500 0.248 0.424
Ge2 Ge 0.500 0.500 0.593
O1 O 0.000 0.000 0.436
O2 O 0.000 0.249 0.636
O3 O 0.000 0.500 0.382
O4 O 0.500 0.078 0.792
O5 O 0.500 0.166 0.214
O6 O 0.500 0.333 0.227
O7 O 0.500 0.416 0.796
```

Principal peaks in the range 2θ = 5–70°, by angle:
| two_theta | d [Å] | I/Imax |
| --- | --- | --- |
| 5.06 | 17.458 | 10 |
| 20.94 | 4.241 | 16 |
| 27.49 | 3.245 | 100 |
| 35.67 | 2.517 | 27 |
| 36.83 | 2.441 | 23 |
| 37.17 | 2.419 | 16 |
| 41.38 | 2.182 | 16 |
| 53.23 | 1.721 | 18 |
| 55.75 | 1.649 | 18 |
| 56.74 | 1.623 | 8 |

=====

Record 3
This entry pairs a crystal structure of Sm2CuGe2O8 with its calculated powder diffractogram. Radiation: Cu Kα, 1.54184 Å. Structure: DFT lattice parameters and positions (PBE).

```
data_Sm2CuGe2O8
_chemical_formula_sum 'Sm8 Cu4 Ge8 O32'
_cell_length_a 9.804
_cell_length_b 15.325
_cell_length_c 5.189
_cell_angle_alpha 90.00
_cell_angle_beta 121.20
_cell_angle_gamma 90.00
_symmetry_space_group_name_H-M 'C 1 m 1'
_symmetry_Int_Tables_number 8
_symmetry_space_group_name_Hall 'C -2y'
loop_
_atom_site_label
_atom_site_type_symbol
_atom_site_fract_x
_atom_site_fract_y
_atom_site_fract_z
Sm1 Sm 0.000 0.120 0.000
Sm2 Sm 0.497 0.121 0.506
Cu1 Cu 0.286 0.207 0.804
Ge1 Ge 0.241 0.290 0.264
Ge2 Ge 0.253 0.500 0.208
Ge3 Ge 0.256 0.000 0.807
O1 O 0.061 0.266 0.257
O2 O 0.086 0.000 0.846
O3 O 0.086 0.500 0.835
O4 O 0.245 0.173 0.110
O5 O 0.251 0.328 0.942
O6 O 0.253 0.408 0.425
O7 O 0.261 0.093 0.603
O8 O 0.409 0.259 0.628
O9 O 0.421 0.000 0.188
O10 O 0.424 0.500 0.174
```

Principal peaks in the range 2θ = 5–70°, by angle:
| two_theta | d [Å] | I/Imax |
| --- | --- | --- |
| 18.05 | 4.914 | 26 |
| 24.45 | 3.640 | 39 |
| 27.80 | 3.210 | 100 |
| 28.15 | 3.170 | 96 |
| 31.63 | 2.828 | 89 |
| 33.97 | 2.639 | 97 |
| 34.58 | 2.594 | 44 |
| 43.15 | 2.096 | 39 |
| 47.34 | 1.920 | 49 |
| 47.79 | 1.903 | 46 |

=====

Record 4
This entry pairs a crystal structure of Sr2CuGe2O7 with its calculated powder diffractogram. Radiation: Cu Kα, 1.54184 Å. Structure: DFT lattice parameters and positions (PBE).

```
data_Sr2CuGe2O7
_chemical_formula_sum 'Sr4 Cu2 Ge4 O14'
_cell_length_a 8.385
_cell_length_b 8.385
_cell_length_c 5.281
_cell_angle_alpha 90.00
_cell_angle_beta 90.00
_cell_angle_gamma 90.00
_symmetry_space_group_name_H-M 'P -4 21 m'
_symmetry_Int_Tables_number 113
_symmetry_space_group_name_Hall 'P -4 2ab'
loop_
_atom_site_label
_atom_site_type_symbol
_atom_site_fract_x
_atom_site_fract_y
_atom_site_fract_z
Sr1 Sr 0.165 0.335 0.011
Cu1 Cu 0.000 0.000 0.500
Ge1 Ge 0.141 0.641 0.532
O1 O 0.000 0.500 0.674
O2 O 0.086 0.819 0.688
O3 O 0.134 0.634 0.203
```

Principal peaks in the range 2θ = 5–70°, by angle:
| two_theta | d [Å] | I/Imax |
| --- | --- | --- |
| 22.55 | 3.943 | 9 |
| 27.16 | 3.283 | 18 |
| 29.21 | 3.057 | 100 |
| 33.80 | 2.652 | 27 |
| 33.95 | 2.640 | 13 |
| 45.92 | 1.976 | 8 |
| 47.93 | 1.898 | 11 |
| 48.67 | 1.871 | 26 |
| 57.87 | 1.593 | 13 |
| 62.15 | 1.493 | 15 |